# Li7Mn5O12
Computed powder diffraction line list, Cu Kα. Input: a structure optimized by DFT (GGA+U).

Peak list (8 most intense, 2θ from 10° to 90°, sorted by position)
2theta  I_rel  h k l
18.3  100  1 0 -1
33.9  15  1 2 3
36.3  11  2 -1 2
36.4  12  0 3 0
40.6  33  0 2 4
44.4  26  3 -1 1
44.5  26  1 3 -1
58.5  9  2 3 -2

Structural model:
Cell: 6.4782 7.8085 9.3524 Å, 71.60 81.76 89.42°
Atoms (fractional coordinates):
Li: 0.0000 0.0000 0.0000
Li: 0.0792 0.3302 0.0626
Li: 0.1572 0.6570 0.1655
Li: 0.2469 0.4997 0.7552
Li: 0.2496 0.0037 0.2658
Li: 0.3378 0.3407 0.3324
Li: 0.4175 0.6606 0.4263
Li: 0.5000 0.0000 0.5000
Li: 0.5825 0.3394 0.5737
Li: 0.6622 0.6593 0.6676
Li: 0.7504 0.9963 0.7342
Li: 0.7531 0.5003 0.2448
Li: 0.8428 0.3430 0.8345
Li: 0.9208 0.6698 0.9374
Mn: 0.0000 0.5000 0.5000
Mn: 0.0828 0.8296 0.5843
Mn: 0.1673 0.1739 0.6721
Mn: 0.3343 0.8318 0.8277
Mn: 0.4135 0.1729 0.9168
Mn: 0.5000 0.5000 0.0000
Mn: 0.5865 0.8271 0.0832
Mn: 0.6657 0.1682 0.1723
Mn: 0.8327 0.8261 0.3279
Mn: 0.9172 0.1704 0.4157
O: 0.0315 0.4148 0.3228
O: 0.0611 0.9247 0.7918
O: 0.1127 0.7376 0.3726
O: 0.1405 0.2458 0.8795
O: 0.1901 0.0741 0.4612
O: 0.2274 0.5941 0.9551
O: 0.2767 0.4114 0.5419
O: 0.3157 0.9140 0.0134
O: 0.3578 0.7626 0.6448
O: 0.3920 0.2609 0.1302
O: 0.4474 0.0767 0.7088
O: 0.4679 0.5848 0.1767
O: 0.5321 0.4152 0.8233
O: 0.5526 0.9233 0.2912
O: 0.6080 0.7391 0.8698
O: 0.6422 0.2374 0.3552
O: 0.6843 0.0860 0.9866
O: 0.7233 0.5886 0.4581
O: 0.7726 0.4059 0.0449
O: 0.8099 0.9259 0.5388
O: 0.8595 0.7542 0.1205
O: 0.8873 0.2624 0.6274
O: 0.9389 0.0753 0.2082
O: 0.9685 0.5852 0.6772